# 1
Structure and simulated powder diffraction line list of Bi10Mo3 (a structure optimized by DFT (GGA-PBE); copper Kα).
Peak positions follow from Bragg's law for the DFT cell and can differ from measured ones.

Most intense lines, 2θ = 15–90°, in order of rising 2θ:
- 2θ 24.66, I = 14.3
- 2θ 27.16, I = 19.9
- 2θ 30.13, I = 29.5
- 2θ 31.82, I = 81.4
- 2θ 32.81, I = 100.0
- 2θ 36.59, I = 80.0
- 2θ 41.70, I = 20.6
- 2θ 52.70, I = 22.3
- 2θ 63.51, I = 15.5
- 2θ 65.64, I = 15.9

Cell: 10.300 10.300 7.419 Å, 98.35 98.35 27.58°
Atoms (fractional coordinates):
Bi (0.031, 0.031, 0.224)
Bi (0.173, 0.173, 0.582)
Bi (0.264, 0.264, 0.159)
Bi (0.360, 0.360, 0.828)
Bi (0.430, 0.430, 0.316)
Bi (0.570, 0.570, 0.684)
Bi (0.640, 0.640, 0.172)
Bi (0.736, 0.736, 0.841)
Bi (0.827, 0.827, 0.418)
Bi (0.969, 0.969, 0.776)
Mo (0.121, 0.121, 0.924)
Mo (0.500, 0.500, 0.000)
Mo (0.879, 0.879, 0.076)

---

# 2
Structure and simulated powder diffraction line list of Bi14Mo5 (a structure optimized by DFT (GGA-PBE); copper Kα).
Peak positions follow from Bragg's law for the DFT cell and can differ from measured ones.

Most intense lines, 2θ = 15–90°, in order of rising 2θ:
- 2θ 26.60, I = 25.6
- 2θ 29.03, I = 25.3
- 2θ 31.99, I = 79.5
- 2θ 32.82, I = 100.0
- 2θ 36.83, I = 84.7
- 2θ 40.92, I = 20.7
- 2θ 41.64, I = 29.2
- 2θ 53.07, I = 26.5
- 2θ 63.80, I = 15.6
- 2θ 65.57, I = 18.9

Cell: 14.945 14.945 7.422 Å, 102.14 102.14 18.80°
Atoms (fractional coordinates):
Bi (0.020, 0.020, 0.236)
Bi (0.124, 0.124, 0.650)
Bi (0.175, 0.175, 0.155)
Bi (0.239, 0.239, 0.840)
Bi (0.306, 0.306, 0.434)
Bi (0.401, 0.401, 0.816)
Bi (0.444, 0.444, 0.281)
Bi (0.556, 0.556, 0.719)
Bi (0.599, 0.599, 0.184)
Bi (0.694, 0.694, 0.566)
Bi (0.761, 0.761, 0.160)
Bi (0.825, 0.825, 0.845)
Bi (0.876, 0.876, 0.350)
Bi (0.980, 0.980, 0.764)
Mo (0.080, 0.080, 0.958)
Mo (0.337, 0.337, 0.095)
Mo (0.500, 0.500, 0.000)
Mo (0.663, 0.663, 0.905)
Mo (0.920, 0.920, 0.042)